Starting from DFT lattice parameters and positions (PBE), the XRD peak list of SmGdFeRu was simulated for Cu Kα.
Kinematic intensities with the Lorentz-polarization factor, no thermal factor.

Peak list (9 most intense, 5° ≤ 2θ ≤ 70°, in order of rising 2θ)
(1 1 1), 2θ = 22.21°, I 2
(2 0 0), 2θ = 25.70°, I 11
(2 2 0), 2θ = 36.67°, I 100
(3 1 1), 2θ = 43.29°, I 1
(2 2 2), 2θ = 45.32°, I 4
(4 0 0), 2θ = 52.83°, I 17
(3 3 1), 2θ = 57.99°, I 1
(4 2 0), 2θ = 59.65°, I 5
(4 2 2), 2θ = 66.03°, I 35

Atomic structure:
```
data_SmGdFeRu
_space_group_name_H-M_alt 'F -4 3 m'
_space_group_IT_number 216
_space_group_name_Hall 'F -4 2 3'
_cell_length_a 6.9319
_cell_length_b 6.9319
_cell_length_c 6.9319
_cell_angle_alpha 90.00
_cell_angle_beta 90.00
_cell_angle_gamma 90.00
loop_
_atom_site_label
_atom_site_type_symbol
_atom_site_fract_x
_atom_site_fract_y
_atom_site_fract_z
Sm1 Sm 0.0000 0.0000 0.0000
Gd1 Gd 0.0000 0.0000 0.5000
Fe1 Fe 0.2500 0.2500 0.7500
Ru1 Ru 0.2500 0.2500 0.2500
```